Record 1
LiTl6Si2O7: simulated X-ray powder pattern (Cu Ka), based on a GGA-PBE-relaxed structure.

Structural model:
```
LiTl6Si2O7
1.0
5.226 0.000 0.000
-0.195 9.025 0.000
-0.340 -4.146 8.062
Li Tl Si O
1 6 2 7
Direct
0.000 0.000 0.000
0.220 0.535 0.441
0.272 0.692 0.940
0.275 0.009 0.701
0.626 0.218 0.209
0.694 0.801 0.311
0.703 0.301 0.642
0.186 0.079 0.346
0.723 0.728 0.690
0.255 0.003 0.148
0.293 0.957 0.424
0.338 0.266 0.441
0.713 0.862 0.617
0.789 0.538 0.566
0.823 0.800 0.881
0.873 0.097 0.366
```

Main lines, in order of rising 2θ (2θ from 10° to 90°):
| 2θ/deg | intensity | hkl |
| --- | --- | --- |
| 10.98 | 62.5 | 0 0 1 |
| 19.65 | 63.6 | 0 2 -1 |
| 26.19 | 33.4 | 1 1 1 |
| 26.37 | 66.2 | 1 2 -1 |
| 26.52 | 73.1 | 1 -1 2 |
| 27.44 | 80.0 | 1 -2 0 |
| 28.66 | 100.0 | 1 2 0 |
| 28.95 | 97.2 | 0 1 2 |
| 30.00 | 50.7 | 0 3 -1 |
| 30.43 | 62.7 | 0 2 -3 |
| 34.38 | 55.0 | 2 0 0 |
| 45.63 | 37.6 | 1 -4 3 |



Record 2
LiTl6Si2O7: simulated X-ray powder pattern (Cu Ka), based on a GGA-PBE-relaxed structure.

Structural model:
```
LiTl6Si2O7
1.0
8.514 0.000 0.000
-4.257 7.373 0.000
0.000 0.000 5.203
Li Tl Si O
1 6 2 7
Direct
0.000 0.000 0.000
0.098 0.368 0.832
0.271 0.902 0.832
0.382 0.289 0.365
0.632 0.729 0.832
0.711 0.093 0.365
0.907 0.618 0.365
0.333 0.667 0.326
0.667 0.333 0.852
0.128 0.519 0.427
0.333 0.667 0.003
0.391 0.872 0.427
0.481 0.609 0.427
0.518 0.395 0.886
0.605 0.123 0.886
0.877 0.482 0.886
```

Main lines, in order of rising 2θ (2θ from 10° to 90°):
| 2θ/deg | intensity | hkl |
| --- | --- | --- |
| 20.88 | 42.4 | 1 1 0 |
| 27.06 | 100.0 | 1 1 1 |
| 29.70 | 65.3 | 2 0 1 |
| 32.12 | 61.9 | 1 2 0 |
| 34.48 | 27.4 | 0 0 2 |
| 40.63 | 16.4 | 2 -1 2 |
| 44.29 | 13.4 | 1 3 0 |
| 47.81 | 72.6 | 4 -3 1 |
| 57.28 | 43.4 | 2 3 1 |
| 57.37 | 12.7 | 1 1 3 |
| 71.28 | 12.3 | 4 -3 3 |
| 81.55 | 17.9 | 2 5 0 |



Record 3
LiTl6Si2O7: simulated X-ray powder pattern (Cu Ka), based on a GGA-PBE-relaxed structure.

Structural model:
```
LiTl6Si2O7
1.0
5.194 0.000 0.000
0.238 8.900 0.000
0.724 4.253 7.965
Li Tl Si O
1 6 2 7
Direct
0.000 0.000 0.000
0.010 0.939 0.346
0.429 0.606 0.518
0.483 0.298 0.291
0.511 0.787 0.006
0.903 0.213 0.654
0.946 0.537 0.882
0.441 0.236 0.921
0.967 0.589 0.267
0.285 0.069 0.066
0.286 0.574 0.267
0.348 0.301 0.734
0.520 0.377 0.974
0.844 0.502 0.464
0.853 0.496 0.165
0.883 0.793 0.172
```

Main lines, in order of rising 2θ (2θ from 10° to 90°):
| 2θ/deg | intensity | hkl |
| --- | --- | --- |
| 19.70 | 55.5 | 0 1 2 |
| 25.17 | 100.0 | 1 -1 1 |
| 26.03 | 38.3 | 1 2 1 |
| 26.54 | 73.8 | 1 1 -1 |
| 26.79 | 57.2 | -1 2 1 |
| 27.22 | 41.9 | -1 1 2 |
| 28.05 | 44.7 | 1 2 2 |
| 29.78 | 46.2 | -1 2 2 |
| 30.02 | 43.4 | 0 1 3 |
| 30.52 | 62.8 | 0 3 1 |
| 34.66 | 51.7 | 2 0 0 |
| 44.50 | 27.5 | 2 1 3 |



Record 4
LiTl6Si2O7: simulated X-ray powder pattern (Cu Ka), based on a GGA-PBE-relaxed structure.

Structural model:
```
LiTl6Si2O7
1.0
5.151 0.000 0.000
0.198 8.957 0.000
0.322 4.470 8.071
Li Tl Si O
1 6 2 7
Direct
0.000 0.000 0.000
0.011 0.616 0.495
0.027 0.113 0.245
0.078 0.660 0.083
0.453 0.238 0.802
0.463 0.854 0.626
0.493 0.356 0.334
0.499 0.843 0.217
0.931 0.165 0.591
0.004 0.355 0.444
0.361 0.953 0.035
0.383 0.645 0.303
0.418 0.927 0.338
0.820 0.838 0.196
0.937 0.132 0.777
0.984 0.010 0.552
```

Main lines, in order of rising 2θ (2θ from 10° to 90°):
| 2θ/deg | intensity | hkl |
| --- | --- | --- |
| 10.96 | 65.4 | 0 0 1 |
| 19.25 | 39.1 | 0 1 2 |
| 25.48 | 37.9 | 1 1 2 |
| 26.08 | 87.3 | 1 2 1 |
| 26.40 | 84.9 | -1 1 2 |
| 28.53 | 84.2 | 1 2 0 |
| 28.72 | 90.3 | 1 -2 0 |
| 29.40 | 100.0 | 0 1 -2 |
| 29.82 | 35.8 | 0 2 3 |
| 30.45 | 40.5 | 0 3 2 |
| 33.77 | 37.1 | 1 1 3 |
| 34.85 | 72.9 | 2 0 0 |



Record 5
LiTmSiO4: simulated X-ray powder pattern (Cu Ka), based on a GGA-PBE-relaxed structure.

Structural model:
```
LiTmSiO4
1.0
10.848 0.000 0.000
0.000 6.267 0.000
0.000 0.000 4.939
Li Tm Si O
4 4 4 16
Direct
0.000 0.000 0.000
0.000 0.500 0.000
0.500 0.000 0.500
0.500 0.500 0.500
0.223 0.250 0.480
0.277 0.750 0.980
0.723 0.250 0.020
0.777 0.750 0.520
0.088 0.750 0.417
0.412 0.250 0.917
0.588 0.750 0.083
0.912 0.250 0.583
0.051 0.250 0.713
0.098 0.750 0.745
0.163 0.545 0.274
0.163 0.955 0.274
0.337 0.045 0.774
0.337 0.455 0.774
0.402 0.250 0.245
0.449 0.750 0.213
0.551 0.250 0.787
0.598 0.750 0.755
0.663 0.545 0.226
0.663 0.955 0.226
0.837 0.045 0.726
0.837 0.455 0.726
0.902 0.250 0.255
0.949 0.750 0.287
```

Main lines, in order of rising 2θ (2θ from 10° to 90°):
| 2θ/deg | intensity | hkl |
| --- | --- | --- |
| 16.34 | 50.2 | 2 0 0 |
| 24.37 | 100.0 | 1 1 1 |
| 28.48 | 29.0 | 0 2 0 |
| 33.02 | 18.3 | 2 2 0 |
| 33.89 | 53.2 | 3 1 1 |
| 36.09 | 10.5 | 4 1 0 |
| 40.12 | 13.0 | 2 0 2 |
| 46.84 | 11.1 | 0 2 2 |
| 48.03 | 25.4 | 1 3 1 |
| 49.94 | 27.2 | 2 2 2 |
| 53.98 | 14.2 | 3 3 1 |
| 58.96 | 10.4 | 0 4 0 |



Record 6
LiSmO3: simulated X-ray powder pattern (Cu Ka), based on a GGA-PBE-relaxed structure.

Structural model:
```
LiSmO3
1.0
3.735 0.000 0.000
0.000 3.735 0.000
0.000 0.000 3.735
Li Sm O
1 1 3
Direct
0.000 0.000 0.000
0.500 0.500 0.500
0.000 0.000 0.500
0.000 0.500 0.000
0.500 0.000 0.000
```

Main lines, in order of rising 2θ (2θ from 10° to 90°):
| 2θ/deg | intensity | hkl |
| --- | --- | --- |
| 23.82 | 100.0 | 1 0 0 |
| 33.94 | 96.4 | 1 1 0 |
| 41.90 | 69.6 | 1 1 1 |
| 48.77 | 36.2 | 2 0 0 |
| 54.97 | 43.8 | 2 1 0 |
| 60.74 | 38.1 | 2 1 1 |
| 71.44 | 21.3 | 2 2 0 |
| 76.52 | 21.4 | 3 0 0 |
| 81.50 | 16.9 | 3 1 0 |
| 86.41 | 22.9 | 3 1 1 |